NaWS2O8: computed X-ray powder pattern (Cu Kα), based on the PBE+U geometry in Alexandria.
No peak broadening, texture or thermal motion is included.

Cell lengths 4.936, 4.936, 7.882 Å; angles 90.00, 90.00, 120.00 degrees
Atoms (fractional coordinates):
1 Na 0.000 0.000 0.000
2 W 0.000 0.000 0.500
3 S 0.333 0.667 0.739
4 S 0.667 0.333 0.261
5 O 0.066 0.365 0.674
6 O 0.299 0.934 0.674
7 O 0.333 0.667 0.924
8 O 0.365 0.299 0.326
9 O 0.635 0.701 0.674
10 O 0.667 0.333 0.076
11 O 0.701 0.066 0.326
12 O 0.934 0.635 0.326

Main lines, most intense first (2θ = 15–90°):
- (0 1 1), d 3.758, I = 100.0
- (0 1 2), d 2.898, I = 72.6
- (1 0 0), d 4.275, I = 40.5
- (1 1 0), d 2.468, I = 30.0
- (0 2 2), d 1.879, I = 21.9
- (2 -1 2), d 2.092, I = 20.4
- (1 0 3), d 2.238, I = 19.3
- (2 1 2), d 1.495, I = 18.7
- (1 2 1), d 1.583, I = 15.3
- (1 1 4), d 1.540, I = 15.3